This entry pairs a crystal structure of BaGd2PdO5 with its calculated XRD peak list. Radiation: Cu Kα X-rays. Structure: the GGA-PBE geometry in the Materials Project.
Neutral-atom scattering factors, no anomalous dispersion.

The 6 most intense peaks (5 to 70 degrees two-theta), by angle:
2θ/deg	I_rel
30.02	59
30.73	100
33.61	47
38.16	23
42.93	47
49.31	21

Structure:
Lattice parameters (Å, degrees): 6.670 6.670 5.949 90.00 90.00 90.00
Space group P4/mbm (No. 127)
One atom of each set of equivalent atoms:
Ba (0.000, 0.000, 0.000)
Gd (0.175, 0.325, 0.500)
Pd (0.000, 0.500, 0.000)
O (0.000, 0.000, 0.500)
O (0.141, 0.641, 0.256)



This entry pairs a crystal structure of CeSe2 with its calculated XRD peak list. Radiation: Cu Kα X-rays. Structure: the GGA-PBE geometry in the Materials Project.
Neutral-atom scattering factors, no anomalous dispersion.

The 6 most intense peaks (5 to 70 degrees two-theta), by angle:
2θ/deg	I_rel
5.78	100
10.03	9
11.58	8
16.93	8
17.41	7
20.97	7

Structure:
Lattice parameters (Å, degrees): 30.5550 30.5550 11.4017 90.00 90.00 120.00
Space group R-3m (No. 166, hexagonal axes)
One atom of each set of equivalent atoms:
Ce (0.0084, 0.4249, 0.2263)
Se (0.0000, 0.2361, 0.5000)
Se (0.0000, 0.2807, 0.0000)
Se (0.0000, 0.4466, 0.0000)
Se (0.0131, 0.5066, 0.3392)



This entry pairs a crystal structure of K2CeI5 with its calculated XRD peak list. Radiation: Cu Kα X-rays. Structure: the GGA-PBE geometry in the Materials Project.
Neutral-atom scattering factors, no anomalous dispersion.

The 6 most intense peaks (5 to 70 degrees two-theta), by angle:
2θ/deg	I_rel
11.23	57
23.63	68
26.10	87
26.89	100
28.92	62
36.15	50

Structure:
Lattice parameters (Å, degrees): 14.674 9.939 9.343 90.00 90.00 90.00
Space group Pnma (No. 62)
One atom of each set of equivalent atoms:
K (0.172, 0.004, 0.052)
Ce (0.005, 0.250, 0.578)
I (0.007, 0.250, 0.929)
I (0.078, 0.545, 0.665)
I (0.181, 0.250, 0.372)
I (0.206, 0.750, 0.336)